This entry pairs a crystal structure of DyEr3Sc3 with its simulated powder diffraction line list. Radiation: Cu Kα (λ = 1.5418 Å). Structure: a DFT-relaxed cell (PBE, Alexandria).
Intensities are scaled so that the largest is 100.

Cell and atoms:
```
data_DyEr3Sc3
_cell_length_a 9.1839
_cell_length_b 9.1839
_cell_length_c 5.4108
_cell_angle_alpha 90.00
_cell_angle_beta 90.00
_cell_angle_gamma 120.00
_space_group_name_H-M_alt 'P 63/m'
_space_group_IT_number 176
_space_group_name_Hall '-P 6c'
loop_
_atom_site_label
_atom_site_type_symbol
_atom_site_fract_x
_atom_site_fract_y
_atom_site_fract_z
_atom_site_occupancy
Dy1 Dy 0.3333 0.6667 0.2500 1
Er1 Er 0.0475 0.8041 0.2500 1
Sc1 Sc 0.0955 0.6151 0.7500 1
```

Principal peaks in the range 2θ = 10–80°, by angle:
| (hkl) | two_theta | intensity |
| --- | --- | --- |
| 1 2 0 | 29.72 | 27.9 |
| 0 0 2 | 33.11 | 24.1 |
| 1 2 1 | 34.12 | 100.0 |
| 1 2 2 | 45.08 | 17.8 |
| 4 1 0 | 52.74 | 19.0 |
| 1 2 3 | 59.80 | 19.5 |
| 4 1 2 | 63.70 | 21.3 |
| 2 4 1 | 64.32 | 16.1 |